PaBr5: computed X-ray diffraction stick pattern (Cu Kα, 1.54184 Å), based on a structure optimized by DFT (GGA-PBE).
Intensities are scaled so that the largest is 100.

The 10 most intense peaks (10° ≤ 2θ ≤ 90°), in order of rising 2θ:
hkl 0 1 1, 11.72 deg, I 36
hkl 1 1 -1, 12.04 deg, I 100
hkl 1 0 -2, 13.31 deg, I 56
hkl 1 1 0, 15.09 deg, I 68
hkl 0 2 1, 17.28 deg, I 69
hkl 1 0 2, 29.26 deg, I 69
hkl 0 4 0, 29.51 deg, I 71
hkl 3 0 -4, 30.51 deg, I 65
hkl 1 4 2, 42.05 deg, I 48
hkl 3 4 -4, 42.96 deg, I 47

Cell and atoms:
Cell: 9.253 12.106 13.318 Å, 90.00 133.47 90.00°
Space group P2_1/c (No. 14)
Symmetry-distinct sites (fractional):
Pa1 0.204 0.132 0.155
Br1 0.002 0.626 0.272
Br2 0.170 0.607 0.632
Br3 0.177 0.149 0.633
Br4 0.392 0.122 0.069
Br5 0.453 0.623 0.082

PbBr2: computed X-ray diffraction stick pattern (Cu Kα, 1.54184 Å), based on a structure optimized by DFT (GGA-PBE).
Intensities are scaled so that the largest is 100.

The 10 most intense peaks (10° ≤ 2θ ≤ 90°), in order of rising 2θ:
hkl 0 0 2, 12.20 deg, I 100
hkl 1 1 1, 23.65 deg, I 43
hkl 0 2 2, 25.97 deg, I 55
hkl 1 1 3, 29.44 deg, I 72
hkl 0 2 4, 33.78 deg, I 30
hkl 1 1 5, 38.68 deg, I 40
hkl 2 0 0, 40.06 deg, I 16
hkl 1 3 1, 40.61 deg, I 47
hkl 0 2 6, 44.08 deg, I 16
hkl 0 4 4, 53.39 deg, I 24

Cell and atoms:
Cell: 4.502 7.784 14.511 Å, 90.00 90.00 90.00°
Space group Cmce (No. 64)
Symmetry-distinct sites (fractional):
Pb1 0.000 0.000 0.000
Br1 0.000 0.166 0.385

PbBr2: computed X-ray diffraction stick pattern (Cu Kα, 1.54184 Å), based on a structure optimized by DFT (GGA-PBE).
Intensities are scaled so that the largest is 100.

The 10 most intense peaks (10° ≤ 2θ ≤ 90°), in order of rising 2θ:
hkl 0 0 2, 17.46 deg, I 49
hkl 1 0 2, 20.57 deg, I 50
hkl 1 1 1, 23.31 deg, I 100
hkl 2 0 2, 27.89 deg, I 85
hkl 2 1 1, 30.03 deg, I 78
hkl 0 1 3, 32.46 deg, I 82
hkl 3 0 2, 37.23 deg, I 32
hkl 0 2 0, 37.85 deg, I 54
hkl 3 1 1, 38.90 deg, I 60
hkl 2 1 3, 39.32 deg, I 77

Cell and atoms:
Cell: 8.237 4.754 10.158 Å, 90.00 90.00 90.00°
Space group Pnma (No. 62)
Symmetry-distinct sites (fractional):
Pb1 0.232 0.250 0.072
Br1 0.007 0.250 0.847
Br2 0.141 0.250 0.413

PbBr2: computed X-ray diffraction stick pattern (Cu Kα, 1.54184 Å), based on a structure optimized by DFT (GGA-PBE).
Intensities are scaled so that the largest is 100.

The 10 most intense peaks (10° ≤ 2θ ≤ 90°), in order of rising 2θ:
hkl 1 1 0, 17.49 deg, I 100
hkl 1 0 1, 22.92 deg, I 50
hkl 1 1 1, 26.11 deg, I 36
hkl 2 1 1, 34.05 deg, I 100
hkl 2 2 0, 35.41 deg, I 35
hkl 0 0 2, 39.04 deg, I 19
hkl 3 0 1, 42.60 deg, I 51
hkl 1 1 2, 43.08 deg, I 21
hkl 2 2 2, 53.72 deg, I 22
hkl 5 2 1, 74.11 deg, I 20

Cell and atoms:
Cell: 7.171 7.171 4.614 Å, 90.00 90.00 90.00°
Space group P4_2/mnm (No. 136)
Symmetry-distinct sites (fractional):
Pb1 0.000 0.000 0.000
Br1 0.199 0.199 0.500

Rb4PbBr6: computed X-ray diffraction stick pattern (Cu Kα, 1.54184 Å), based on a structure optimized by DFT (GGA-PBE).
Intensities are scaled so that the largest is 100.

The 10 most intense peaks (10° ≤ 2θ ≤ 90°), in order of rising 2θ:
hkl 0 1 2, 12.96 deg, I 77
hkl 3 0 0, 22.61 deg, I 28
hkl 0 2 4, 26.04 deg, I 28
hkl 1 3 1, 27.77 deg, I 40
hkl 2 1 4, 29.23 deg, I 100
hkl 2 2 3, 30.72 deg, I 64
hkl 4 1 0, 34.82 deg, I 34
hkl 3 2 4, 39.63 deg, I 37
hkl 6 0 0, 46.15 deg, I 20
hkl 3 5 4, 59.04 deg, I 25

Cell and atoms:
Cell: 13.6240 13.6240 16.8050 Å, 90.00 90.00 120.00°
Space group R-3c (No. 167, hexagonal axes)
Symmetry-distinct sites (fractional):
Rb1 0.0000 0.0000 0.2500
Rb2 0.0000 0.3793 0.2500
Pb1 0.0000 0.0000 0.0000
Br1 0.0324 0.1963 0.3944

Pb4SBr6: computed X-ray diffraction stick pattern (Cu Kα, 1.54184 Å), based on a structure optimized by DFT (GGA-PBE).
Intensities are scaled so that the largest is 100.

The 10 most intense peaks (10° ≤ 2θ ≤ 90°), in order of rising 2θ:
hkl 0 0 2, 20.45 deg, I 47
hkl 0 2 0, 20.57 deg, I 46
hkl 1 0 1, 22.35 deg, I 34
hkl 1 2 1, 24.89 deg, I 51
hkl 0 2 -1, 26.77 deg, I 32
hkl 1 2 3, 31.34 deg, I 100
hkl 1 3 2, 31.41 deg, I 32
hkl 0 2 -2, 35.20 deg, I 34
hkl 1 -2 1, 35.35 deg, I 40
hkl 2 1 1, 41.82 deg, I 39

Cell and atoms:
Cell: 4.320 9.855 9.906 Å, 62.19 77.49 77.38°
Space group P1 (No. 1)
Symmetry-distinct sites (fractional):
Pb1 0.000 0.000 0.000
Pb2 0.245 0.475 0.020
Pb3 0.500 0.427 0.573
Pb4 0.747 0.977 0.525
S1 0.498 0.165 0.839
Br1 0.134 0.272 0.458
Br2 0.188 0.838 0.785
Br3 0.376 0.859 0.386
Br4 0.622 0.614 0.139
Br5 0.807 0.214 0.164
Br6 0.865 0.545 0.726

Pb4SeBr6: computed X-ray diffraction stick pattern (Cu Kα, 1.54184 Å), based on a structure optimized by DFT (GGA-PBE).
Intensities are scaled so that the largest is 100.

The 10 most intense peaks (10° ≤ 2θ ≤ 90°), in order of rising 2θ:
hkl 0 0 2, 20.50 deg, I 67
hkl 4 0 -2, 20.89 deg, I 62
hkl 1 1 -1, 21.95 deg, I 52
hkl 4 0 0, 22.21 deg, I 45
hkl 3 1 1, 31.30 deg, I 100
hkl 5 1 -1, 31.56 deg, I 95
hkl 3 1 -3, 33.33 deg, I 53
hkl 4 0 -4, 35.35 deg, I 85
hkl 0 2 0, 40.89 deg, I 57
hkl 4 2 -4, 55.13 deg, I 50

Cell and atoms:
Cell: 18.796 4.414 10.171 Å, 90.00 121.60 90.00°
Space group Cm (No. 8)
Symmetry-distinct sites (fractional):
Pb1 0.000 0.000 0.000
Pb2 0.000 0.500 0.462
Pb3 0.238 0.000 0.457
Pb4 0.257 0.500 0.979
Se1 0.008 0.000 0.291
Br1 0.123 0.000 0.830
Br2 0.136 0.500 0.162
Br3 0.192 0.500 0.615
Br4 0.311 0.000 0.230
Br5 0.366 0.000 0.898
Br6 0.376 0.500 0.579

Pb4SeBr6: computed X-ray diffraction stick pattern (Cu Kα, 1.54184 Å), based on a structure optimized by DFT (GGA-PBE).
Intensities are scaled so that the largest is 100.

The 10 most intense peaks (10° ≤ 2θ ≤ 90°), in order of rising 2θ:
hkl 0 2 2, 20.68 deg, I 64
hkl 0 4 0, 22.14 deg, I 50
hkl 1 2 1, 24.78 deg, I 32
hkl 1 4 1, 31.51 deg, I 100
hkl 1 0 3, 33.44 deg, I 28
hkl 0 0 4, 35.30 deg, I 64
hkl 0 6 2, 38.01 deg, I 28
hkl 1 4 3, 40.50 deg, I 40
hkl 2 0 0, 41.28 deg, I 28
hkl 2 6 2, 57.36 deg, I 20

Cell and atoms:
Cell: 4.374 16.046 10.172 Å, 90.00 90.00 90.00°
Space group Imm2 (No. 44)
Symmetry-distinct sites (fractional):
Pb1 0.000 0.000 0.000
Pb2 0.000 0.241 0.218
Pb3 0.000 0.500 0.957
Se1 0.000 0.000 0.279
Br1 0.000 0.122 0.702
Br2 0.000 0.308 0.918
Br3 0.000 0.364 0.528

Tl3PbBr5: computed X-ray diffraction stick pattern (Cu Kα, 1.54184 Å), based on a structure optimized by DFT (GGA-PBE).
Intensities are scaled so that the largest is 100.

The 10 most intense peaks (10° ≤ 2θ ≤ 90°), in order of rising 2θ:
hkl 1 2 0, 21.77 deg, I 33
hkl 2 1 1, 23.28 deg, I 33
hkl 2 2 0, 28.15 deg, I 34
hkl 2 1 3, 28.35 deg, I 100
hkl 1 3 1, 31.32 deg, I 46
hkl 1 2 4, 31.64 deg, I 43
hkl 1 1 5, 31.82 deg, I 77
hkl 3 0 2, 32.86 deg, I 58
hkl 3 3 0, 42.79 deg, I 42
hkl 4 1 3, 46.20 deg, I 29

Cell and atoms:
Cell: 8.716 9.241 15.687 Å, 90.00 90.00 90.00°
Space group P2_12_12_1 (No. 19)
Symmetry-distinct sites (fractional):
Tl1 0.064 0.087 0.285
Tl2 0.087 0.167 0.978
Tl3 0.228 0.706 0.051
Pb1 0.077 0.547 0.795
Br1 0.075 0.997 0.525
Br2 0.085 0.853 0.864
Br3 0.105 0.445 0.389
Br4 0.221 0.211 0.774
Br5 0.236 0.346 0.150

Tl3PbBr5: computed X-ray diffraction stick pattern (Cu Kα, 1.54184 Å), based on a structure optimized by DFT (GGA-PBE).
Intensities are scaled so that the largest is 100.

The 10 most intense peaks (10° ≤ 2θ ≤ 90°), in order of rising 2θ:
hkl 2 1 0, 22.06 deg, I 42
hkl 0 0 4, 22.75 deg, I 37
hkl 2 1 1, 22.82 deg, I 25
hkl 2 1 2, 24.85 deg, I 24
hkl 2 2 0, 28.00 deg, I 100
hkl 1 1 5, 31.84 deg, I 90
hkl 3 0 2, 31.96 deg, I 81
hkl 1 4 1, 41.79 deg, I 22
hkl 2 3 4, 42.96 deg, I 30
hkl 4 1 3, 45.02 deg, I 36

Cell and atoms:
Cell: 8.998 8.998 15.674 Å, 90.00 90.00 90.00°
Space group P4_1 (No. 76)
Symmetry-distinct sites (fractional):
Tl1 0.007 0.188 0.000
Tl2 0.118 0.318 0.574
Tl3 0.174 0.363 0.264
Pb1 0.304 0.485 0.841
Br1 0.019 0.329 0.797
Br2 0.025 0.828 0.903
Br3 0.177 0.647 0.671
Br4 0.203 0.494 0.051
Br5 0.361 0.517 0.453

PdBr2: computed X-ray diffraction stick pattern (Cu Kα, 1.54184 Å), based on a structure optimized by DFT (GGA-PBE).
Intensities are scaled so that the largest is 100.

The 10 most intense peaks (10° ≤ 2θ ≤ 90°), in order of rising 2θ:
hkl 2 0 0, 12.98 deg, I 52
hkl 1 1 0, 19.62 deg, I 100
hkl 1 1 -1, 23.14 deg, I 31
hkl 3 1 1, 32.34 deg, I 12
hkl 2 0 2, 33.10 deg, I 19
hkl 4 0 -2, 33.69 deg, I 20
hkl 3 1 2, 42.08 deg, I 18
hkl 4 0 2, 42.49 deg, I 12
hkl 5 1 -2, 42.72 deg, I 17
hkl 6 0 -2, 43.29 deg, I 11

Cell and atoms:
Cell: 13.988 4.796 6.645 Å, 90.00 102.71 90.00°
Space group C2/c (No. 15)
Symmetry-distinct sites (fractional):
Pd1 0.000 0.000 0.000
Br1 0.123 0.150 0.307

Rb2PdBr6: computed X-ray diffraction stick pattern (Cu Kα, 1.54184 Å), based on a structure optimized by DFT (GGA-PBE).
Intensities are scaled so that the largest is 100.

The 10 most intense peaks (10° ≤ 2θ ≤ 90°), in order of rising 2θ:
hkl 1 1 1, 14.31 deg, I 44
hkl 2 2 2, 28.85 deg, I 100
hkl 4 0 0, 33.43 deg, I 97
hkl 5 1 1, 43.88 deg, I 15
hkl 4 4 0, 48.00 deg, I 66
hkl 6 2 2, 56.97 deg, I 38
hkl 4 4 4, 59.76 deg, I 22
hkl 6 6 2, 77.64 deg, I 14
hkl 8 4 0, 80.05 deg, I 27
hkl 8 4 4, 89.58 deg, I 20

Cell and atoms:
Cell: 10.721 10.721 10.721 Å, 90.00 90.00 90.00°
Space group Fm-3m (No. 225)
Symmetry-distinct sites (fractional):
Rb1 0.250 0.250 0.250
Pd1 0.000 0.000 0.000
Br1 0.000 0.000 0.234